Structure and simulated powder diffractogram of HfZrCu3 (a cell relaxed with PBE; copper Kα).
Lines closer than 0.1° are merged.

Atomic structure:
```
10
Lattice="1.5122 -12.6869 0.0000 1.5122 12.6869 0.0000 0.0000 0.0000 4.2358" Properties=species:S:1:pos:R:3 pbc="T T T"
Hf 1.5122 7.3270 3.1768
Hf 1.5122 -7.3270 1.0589
Zr 1.5122 10.8228 1.0589
Zr 1.5122 -10.8228 3.1768
Cu 1.5122 4.4293 3.1768
Cu 1.5122 3.0620 1.0589
Cu 1.5122 0.6108 1.0589
Cu 1.5122 -0.6108 3.1768
Cu 1.5122 -3.0620 3.1768
Cu 1.5122 -4.4293 1.0589
```

Peak list (10 most intense, 2θ from 10° to 90°, by angle)
d = 3.523 Å, rel. 22
d = 2.450 Å, rel. 20
d = 2.363 Å, rel. 100
d = 2.322 Å, rel. 59
d = 2.177 Å, rel. 67
d = 2.118 Å, rel. 44
d = 1.565 Å, rel. 34
d = 1.512 Å, rel. 14
d = 1.242 Å, rel. 20
d = 1.231 Å, rel. 14